Calculated powder diffractogram of NdAs for λ = 1.5418 Å (Cu Kα), from DFT lattice parameters and positions (PBE).
No peak broadening, texture or thermal motion is included.

Crystal structure
abc: 6.043 6.043 6.043
angles: 90.00 90.00 90.00
Positions (direct):
1 Nd 0.000 0.000 0.000
2 Nd 0.000 0.500 0.500
3 Nd 0.500 0.000 0.500
4 Nd 0.500 0.500 0.000
5 As 0.000 0.000 0.500
6 As 0.000 0.500 0.000
7 As 0.500 0.000 0.000
8 As 0.500 0.500 0.500

Main lines, in order of falling intensity (2θ from 15° to 90°):
2θ (°), I (rel.)
29.57, 100.0
42.30, 75.2
69.58, 34.0
52.46, 26.6
77.37, 25.3
25.53, 17.3